Entry 1:
This entry pairs a crystal structure of Sr2MgMnSbO6 with its calculated powder X-ray diffraction pattern. Radiation: CuKα. Structure: a DFT-relaxed cell (GGA+U, the Materials Project).
Neutral-atom scattering factors, no anomalous dispersion.

Most intense lines, 15 to 90 degrees two-theta, low angle first:
d (Å), Rel. int., hkl
2.962, 53, 1 -1 0
2.937, 100, 1 2 1
2.884, 46, 0 1 2
2.817, 37, 2 1 1
2.549, 46, 1 0 2
2.204, 30, 2 0 -1

Structural model:
```
Sr2MgMnSbO6
1.0
5.733 0.000 0.000
2.751 5.200 0.000
1.789 2.083 5.545
Sr Mg Mn Sb O
2 1 1 1 6
Cartesian
0.000 0.000 0.000
4.655 3.793 4.040
5.586 3.556 0.917
7.579 5.203 3.332
2.341 1.775 1.783
3.620 5.538 2.400
3.679 3.020 0.753
3.413 1.540 3.478
3.190 0.276 0.544
6.706 3.433 2.630
8.289 4.489 5.148
```

***

Entry 2:
This entry pairs a crystal structure of Sr2MgMnSbO6 with its calculated powder X-ray diffraction pattern. Radiation: CuKα. Structure: a DFT-relaxed cell (GGA+U, the Materials Project).
Neutral-atom scattering factors, no anomalous dispersion.

Most intense lines, 15 to 90 degrees two-theta, low angle first:
d (Å), Rel. int., hkl
5.093, 21, 1 0 0
3.354, 32, 1 -1 1
3.229, 100, -1 1 1
2.916, 67, 1 1 -2
2.871, 44, 0 2 -1
2.745, 27, 2 0 -1

Structural model:
```
Sr2MgMnSbO6
1.0
5.553 0.000 0.000
-0.623 5.752 0.000
-1.936 -2.580 5.262
Sr Mg Mn Sb O
2 1 1 1 6
Cartesian
0.028 0.286 2.205
2.966 2.886 3.057
2.465 2.876 0.000
2.777 0.000 0.000
-0.312 2.876 0.000
-0.733 -1.207 4.523
-0.774 1.615 4.313
0.969 2.892 1.629
2.025 0.280 3.633
3.768 1.557 0.949
3.727 4.379 0.739
```